(1)
Simulated X-ray powder pattern of BaZnAg4O8 for copper Kα, from DFT lattice parameters and positions (PBE).
Lines closer than 0.1° are merged.

```
data_BaZnAg4O8
_symmetry_space_group_name_H-M 'P -3 1 m'
_symmetry_Int_Tables_number 162
_symmetry_space_group_name_Hall '-P 3 2'
_cell_length_a 5.7742
_cell_length_b 5.7742
_cell_length_c 7.1592
_cell_angle_alpha 90.00
_cell_angle_beta 90.00
_cell_angle_gamma 120.00
loop_
_atom_site_label
_atom_site_type_symbol
_atom_site_fract_x
_atom_site_fract_y
_atom_site_fract_z
Ba1 Ba 0.0000 0.0000 0.0000
Zn1 Zn 0.0000 0.0000 0.5000
Ag1 Ag 0.3333 0.6667 0.2912
O1 O 0.0000 0.2793 0.3211
O2 O 0.3333 0.6667 0.0000
```

Most intense lines, 10 to 80 degrees two-theta, by intensity:
- 2θ 31.0, I 100, (1 1 0)
- 2θ 30.7, I 67, (1 0 2)
- 2θ 54.9, I 29, (2 1 2)
- 2θ 44.2, I 28, (2 0 2)
- 2θ 55.1, I 25, (3 0 0)
- 2θ 49.6, I 17, (1 1 3)
- 2θ 60.9, I 15, (2 -1 4)
- 2θ 37.7, I 12, (0 0 3)
- 2θ 64.6, I 12, (2 2 0)
- 2θ 73.2, I 10, (4 -1 2)

(2)
Simulated X-ray powder pattern of Re3O8 for copper Kα, from DFT lattice parameters and positions (PBE).
Lines closer than 0.1° are merged.

```
data_Re3O8
_symmetry_space_group_name_H-M 'C 1 2/m 1'
_symmetry_Int_Tables_number 12
_cell_length_a 9.7064
_cell_length_b 5.5733
_cell_length_c 4.7510
_cell_angle_alpha 90.00
_cell_angle_beta 93.64
_cell_angle_gamma 90.00
loop_
_symmetry_equiv_pos_as_xyz
'x,y,z'
'-x,-y,-z'
'-x,y,-z'
'x,-y,z'
'x+1/2,y+1/2,z'
'-x+1/2,-y+1/2,-z'
'-x+1/2,y+1/2,-z'
'x+1/2,-y+1/2,z'
loop_
_atom_site_label
_atom_site_type_symbol
_atom_site_fract_x
_atom_site_fract_y
_atom_site_fract_z
Re1 Re 0.0000 0.0000 0.0000
Re2 Re 0.2500 0.2500 0.5000
O1 O 0.0987 0.2292 0.2286
O2 O 0.1537 0.0000 0.7384
O3 O 0.1558 0.5000 0.7066
```

Most intense lines, 10 to 80 degrees two-theta, by intensity:
- 2θ 25.4, I 100, (2 0 -1)
- 2θ 27.1, I 84, (2 0 1)
- 2θ 18.3, I 75, (1 1 0)
- 2θ 37.4, I 66, (0 2 1)
- 2θ 37.2, I 61, (2 2 0)
- 2θ 53.3, I 30, (2 2 -2)
- 2θ 52.8, I 29, (4 2 -1)
- 2θ 55.1, I 26, (2 2 2)
- 2θ 54.7, I 25, (4 2 1)
- 2θ 37.1, I 24, (4 0 0)